Structure and theoretical X-ray powder pattern of MoSCl7O (the GGA+U geometry in the Materials Project; copper Kα).
Lines closer than 0.1° are merged.

Most intense lines, 2θ from 10° to 90°, sorted by position:
2theta	I/Imax	index
11.98	46.6	0 1 1
15.20	100.0	0 0 2
18.58	18.7	0 2 0
20.90	46.3	1 2 -1
21.21	83.1	2 1 -2
21.64	38.4	2 1 0
24.09	24.4	0 2 2
27.98	22.5	1 2 -3
30.25	51.5	3 1 -3
30.36	46.2	2 2 1
35.12	24.3	2 2 2
36.48	29.2	0 3 3

Atomic structure:
Lattice parameters (Å, degrees): 10.028 9.553 12.847 90.00 114.86 90.00
Element x y z (fractional)
Mo (0.156, 0.161, 0.002)
Mo (0.156, 0.339, 0.502)
Mo (0.844, 0.661, 0.498)
Mo (0.844, 0.839, 0.998)
S (0.282, 0.738, 0.987)
S (0.282, 0.762, 0.487)
S (0.718, 0.238, 0.513)
S (0.718, 0.262, 0.013)
Cl (0.033, 0.545, 0.386)
Cl (0.033, 0.955, 0.886)
Cl (0.064, 0.708, 0.100)
Cl (0.064, 0.792, 0.600)
Cl (0.180, 0.581, 0.878)
Cl (0.180, 0.919, 0.378)
Cl (0.219, 0.179, 0.653)
Cl (0.219, 0.321, 0.153)
Cl (0.333, 0.000, 0.137)
Cl (0.333, 0.500, 0.637)
Cl (0.395, 0.672, 0.406)
Cl (0.395, 0.828, 0.906)
Cl (0.445, 0.637, 0.117)
Cl (0.445, 0.863, 0.617)
Cl (0.555, 0.137, 0.383)
Cl (0.555, 0.363, 0.883)
Cl (0.605, 0.172, 0.094)
Cl (0.605, 0.328, 0.594)
Cl (0.667, 0.000, 0.863)
Cl (0.667, 0.500, 0.363)
Cl (0.781, 0.679, 0.847)
Cl (0.781, 0.821, 0.347)
Cl (0.820, 0.081, 0.622)
Cl (0.820, 0.419, 0.122)
Cl (0.936, 0.208, 0.400)
Cl (0.936, 0.292, 0.900)
Cl (0.967, 0.045, 0.114)
Cl (0.967, 0.455, 0.614)
O (0.256, 0.215, 0.930)
O (0.256, 0.285, 0.430)
O (0.744, 0.715, 0.570)
O (0.744, 0.785, 0.070)

Structure and theoretical X-ray powder pattern of ReW2O8 (the GGA+U geometry in the Materials Project; copper Kα).
Lines closer than 0.1° are merged.

Most intense lines, 2θ from 10° to 90°, sorted by position:
2theta	I/Imax	index
15.66	100.0	0 0 1
17.55	24.4	0 1 0
19.26	26.3	1 0 0
26.77	65.7	1 0 1
27.82	28.4	0 1 2
28.82	43.8	-1 1 1
29.23	44.3	1 1 -1
30.43	35.2	1 2 1
31.10	27.2	0 2 1
35.28	31.3	1 2 2
36.33	20.5	2 1 0
42.64	19.3	1 1 -2

Atomic structure:
Lattice parameters (Å, degrees): 4.967 6.129 6.445 62.68 88.31 69.86
Element x y z (fractional)
Re (0.000, 0.000, 0.000)
W (0.233, 0.525, 0.817)
W (0.767, 0.475, 0.183)
O (0.144, 0.279, 0.190)
O (0.172, 0.244, 0.794)
O (0.302, 0.708, 0.535)
O (0.334, 0.703, 0.006)
O (0.666, 0.297, 0.994)
O (0.698, 0.292, 0.465)
O (0.828, 0.756, 0.206)
O (0.856, 0.721, 0.810)